Structure and computed powder XRD pattern of KTeH2O4 (the GGA-PBE geometry in Alexandria; Cu Kα).
Peak positions follow from Bragg's law for the DFT cell and can differ from measured ones.

The 10 most intense peaks (10 to 90 degrees two-theta), by angle:
| index | 2θ/deg | intensity |
| --- | --- | --- |
| 0 1 1 | 17.9 | 98 |
| 1 0 1 | 22.6 | 24 |
| 1 1 0 | 23.3 | 96 |
| 0 0 2 | 24.3 | 30 |
| 0 2 0 | 26.6 | 52 |
| 1 1 2 | 33.9 | 100 |
| 1 2 1 | 35.2 | 28 |
| 0 2 2 | 36.3 | 32 |
| 2 0 2 | 46.3 | 25 |
| 1 3 2 | 51.8 | 26 |

Crystal structure
Lattice parameters (Å, degrees): 4.648 6.706 7.332 90.00 90.00 90.00
Element x y z (fractional)
K 0.000 0.000 0.000
K 0.500 0.500 0.500
Te 0.000 0.000 0.500
Te 0.500 0.500 0.000
H 0.000 0.500 0.163
H 0.000 0.500 0.837
H 0.500 0.000 0.337
H 0.500 0.000 0.663
O 0.215 0.393 0.829
O 0.215 0.607 0.171
O 0.285 0.107 0.329
O 0.285 0.893 0.671
O 0.715 0.107 0.671
O 0.715 0.893 0.329
O 0.785 0.393 0.171
O 0.785 0.607 0.829